[1]
Calculated PXRD pattern of Cs2Ni2PtSe4 for copper Kα, from a cell relaxed with GGA-PBE.
Neutral-atom scattering factors, no anomalous dispersion.

Top 8 peaks for 2θ = 10–90°, by angle:
2θ/deg, d (Å), I_rel
12.08, 7.327, 80
17.36, 5.109, 38
24.47, 3.638, 100
28.53, 3.129, 47
33.60, 2.667, 97
41.90, 2.156, 35
50.16, 1.819, 44
53.84, 1.703, 26

Atomic structure:
```
Cs2Ni2PtSe4
1.0
0.000 5.547 7.327
3.129 0.000 7.327
3.129 5.547 0.000
Cs Ni Pt Se
2 2 1 4
Direct
0.154 0.154 0.846
0.846 0.846 0.154
0.000 0.000 0.500
0.500 0.500 0.000
0.500 0.500 0.500
0.219 0.570 0.430
0.430 0.781 0.219
0.570 0.219 0.781
0.781 0.430 0.570
```

***

[2]
Calculated PXRD pattern of Cs2NiPt2Se4 for copper Kα, from a cell relaxed with GGA-PBE.
Neutral-atom scattering factors, no anomalous dispersion.

Top 8 peaks for 2θ = 10–90°, by angle:
2θ/deg, d (Å), I_rel
12.10, 7.316, 100
20.38, 4.357, 63
23.91, 3.722, 28
28.62, 3.119, 32
31.05, 2.880, 37
33.55, 2.671, 38
36.07, 2.490, 50
48.94, 1.861, 38

Atomic structure:
```
Cs2NiPt2Se4
1.0
0.000 5.423 7.316
3.399 0.000 7.316
3.399 5.423 0.000
Cs Ni Pt Se
2 1 2 4
Direct
0.152 0.152 0.848
0.848 0.848 0.152
0.500 0.500 0.500
0.000 0.000 0.500
0.500 0.500 0.000
0.231 0.556 0.444
0.444 0.769 0.231
0.556 0.231 0.769
0.769 0.444 0.556
```

***

[3]
Calculated PXRD pattern of CsSi5Ni3 for copper Kα, from a cell relaxed with GGA-PBE.
Neutral-atom scattering factors, no anomalous dispersion.

Top 8 peaks for 2θ = 10–90°, by angle:
2θ/deg, d (Å), I_rel
19.11, 4.644, 54
23.92, 3.721, 100
29.21, 3.057, 41
38.78, 2.322, 27
44.63, 2.030, 26
48.72, 1.869, 24
48.96, 1.860, 74
60.58, 1.529, 22

Atomic structure:
```
CsSi5Ni3
1.0
4.689 0.000 0.000
-2.345 4.061 0.000
0.000 0.000 9.289
Cs Si Ni
1 5 3
Direct
0.000 0.000 0.000
0.000 0.000 0.500
0.333 0.667 0.284
0.333 0.667 0.716
0.667 0.333 0.284
0.667 0.333 0.716
0.000 0.500 0.500
0.500 0.000 0.500
0.500 0.500 0.500
```

***

[4]
Calculated PXRD pattern of CsSmNiTe3 for copper Kα, from a cell relaxed with GGA-PBE.
Neutral-atom scattering factors, no anomalous dispersion.

Top 8 peaks for 2θ = 10–90°, by angle:
2θ/deg, d (Å), I_rel
10.24, 8.641, 49
26.92, 3.312, 100
27.82, 3.206, 17
31.90, 2.805, 15
32.27, 2.774, 18
39.74, 2.268, 18
41.05, 2.199, 22
44.73, 2.026, 14

Atomic structure:
```
CsSmNiTe3
1.0
10.124 0.000 0.000
0.000 4.397 0.000
-4.062 0.000 9.931
Cs Sm Ni Te
2 2 2 6
Direct
0.221 0.250 0.269
0.779 0.750 0.731
0.323 0.750 0.863
0.677 0.250 0.137
0.096 0.250 0.626
0.904 0.750 0.374
0.106 0.250 0.866
0.159 0.750 0.542
0.473 0.750 0.174
0.527 0.250 0.826
0.841 0.250 0.458
0.894 0.750 0.134
```

***

[5]
Calculated PXRD pattern of Cs2Os2O5 for copper Kα, from a cell relaxed with GGA-PBE.
Neutral-atom scattering factors, no anomalous dispersion.

Top 8 peaks for 2θ = 10–90°, by angle:
2θ/deg, d (Å), I_rel
13.86, 6.388, 59
21.99, 4.042, 28
26.30, 3.389, 97
26.94, 3.310, 56
29.58, 3.020, 49
31.13, 2.873, 56
33.72, 2.658, 100
41.62, 2.170, 34

Atomic structure:
```
Cs2Os2O5
1.0
5.336 0.000 0.000
2.243 4.843 0.000
2.629 1.677 6.388
Cs Os O
2 2 5
Direct
0.000 0.000 0.000
0.258 0.259 0.259
0.455 0.455 0.631
0.802 0.803 0.633
0.066 0.565 0.814
0.191 0.692 0.445
0.564 0.567 0.814
0.566 0.067 0.814
0.691 0.192 0.445
```

***

[6]
Calculated PXRD pattern of Cs2P4Pd3O14 for copper Kα, from a cell relaxed with GGA-PBE.
Neutral-atom scattering factors, no anomalous dispersion.

Top 8 peaks for 2θ = 10–90°, by angle:
2θ/deg, d (Å), I_rel
23.18, 3.837, 82
23.34, 3.811, 100
25.73, 3.463, 27
28.91, 3.089, 29
29.51, 3.027, 46
29.63, 3.015, 43
34.61, 2.592, 21
34.92, 2.570, 31

Atomic structure:
```
Cs2P4Pd3O14
1.0
3.803 -7.033 0.000
3.803 7.033 0.000
0.000 0.000 13.928
Cs P Pd O
4 8 6 28
Direct
0.065 0.935 0.500
0.211 0.789 0.248
0.789 0.211 0.748
0.935 0.065 0.000
0.031 0.593 0.975
0.289 0.334 0.208
0.334 0.289 0.708
0.407 0.969 0.975
0.593 0.031 0.475
0.666 0.711 0.208
0.711 0.666 0.708
0.969 0.407 0.475
0.117 0.883 0.815
0.378 0.622 0.849
0.380 0.620 0.582
0.620 0.380 0.082
0.622 0.378 0.349
0.883 0.117 0.315
0.067 0.319 0.417
0.076 0.284 0.210
0.098 0.543 0.557
0.106 0.488 0.914
0.224 0.776 0.031
0.244 0.341 0.791
0.284 0.076 0.710
0.284 0.330 0.607
0.319 0.067 0.917
0.330 0.284 0.107
0.341 0.244 0.291
0.425 0.575 0.220
0.457 0.902 0.557
0.488 0.106 0.414
0.512 0.894 0.914
0.543 0.098 0.057
0.575 0.425 0.720
0.659 0.756 0.791
0.670 0.716 0.607
0.681 0.933 0.417
0.716 0.670 0.107
0.716 0.924 0.210
0.756 0.659 0.291
0.776 0.224 0.531
0.894 0.512 0.414
0.902 0.457 0.057
0.924 0.716 0.710
0.933 0.681 0.917
```

***

[7]
Calculated PXRD pattern of CsPrP4O12 for copper Kα, from a cell relaxed with GGA-PBE.
Neutral-atom scattering factors, no anomalous dispersion.

Top 8 peaks for 2θ = 10–90°, by angle:
2θ/deg, d (Å), I_rel
14.14, 6.262, 82
15.92, 5.567, 95
20.09, 4.421, 61
22.43, 3.963, 81
23.23, 3.829, 75
26.00, 3.427, 67
26.30, 3.388, 100
31.15, 2.871, 74

Atomic structure:
```
CsPrP4O12
1.0
7.113 0.000 0.000
0.000 9.138 0.000
-1.413 0.000 8.598
Cs Pr P O
2 2 8 24
Direct
0.165 0.000 0.169
0.835 0.500 0.831
0.300 0.841 0.693
0.700 0.341 0.307
0.140 0.471 0.546
0.189 0.411 0.225
0.418 0.609 0.062
0.437 0.238 0.635
0.563 0.738 0.365
0.582 0.109 0.938
0.811 0.911 0.775
0.860 0.971 0.454
0.015 0.868 0.821
0.040 0.884 0.484
0.136 0.613 0.629
0.222 0.501 0.387
0.223 0.539 0.106
0.298 0.373 0.652
0.332 0.098 0.597
0.342 0.297 0.234
0.361 0.674 0.906
0.419 0.789 0.460
0.422 0.001 0.913
0.457 0.740 0.186
0.543 0.240 0.814
0.578 0.501 0.087
0.581 0.289 0.540
0.639 0.174 0.094
0.658 0.797 0.766
0.668 0.598 0.403
0.702 0.873 0.348
0.777 0.039 0.894
0.778 0.001 0.613
0.864 0.113 0.371
0.960 0.384 0.516
0.985 0.368 0.179
```

***

[8]
Calculated PXRD pattern of CsTa2P5O18 for copper Kα, from a cell relaxed with GGA-PBE.
Neutral-atom scattering factors, no anomalous dispersion.

Top 8 peaks for 2θ = 10–90°, by angle:
2θ/deg, d (Å), I_rel
17.19, 5.158, 100
18.78, 4.725, 93
19.74, 4.497, 47
21.06, 4.218, 60
22.00, 4.039, 61
24.70, 3.604, 98
25.14, 3.543, 52
28.77, 3.103, 44

Atomic structure:
```
CsTa2P5O18
1.0
5.096 0.000 0.000
1.016 10.683 0.000
0.828 1.532 14.162
Cs Ta P O
2 4 10 36
Direct
0.218 0.407 0.115
0.782 0.593 0.885
0.199 0.212 0.489
0.247 0.947 0.145
0.753 0.053 0.855
0.801 0.788 0.511
0.086 0.414 0.657
0.203 0.271 0.835
0.281 0.864 0.921
0.297 0.943 0.389
0.309 0.649 0.645
0.691 0.351 0.355
0.703 0.057 0.611
0.719 0.136 0.079
0.797 0.729 0.165
0.914 0.586 0.343
0.039 0.905 0.440
0.052 0.795 0.173
0.063 0.338 0.572
0.072 0.736 0.600
0.076 0.939 0.853
0.162 0.532 0.300
0.190 0.369 0.900
0.242 0.936 0.012
0.254 0.728 0.941
0.263 0.954 0.284
0.273 0.326 0.726
0.280 0.515 0.609
0.321 0.651 0.747
0.351 0.072 0.417
0.425 0.163 0.850
0.444 0.100 0.123
0.445 0.315 0.419
0.472 0.154 0.584
0.528 0.846 0.416
0.555 0.685 0.581
0.556 0.900 0.877
0.575 0.837 0.150
0.649 0.928 0.583
0.679 0.349 0.253
0.720 0.485 0.391
0.727 0.674 0.274
0.737 0.046 0.716
0.746 0.272 0.059
0.758 0.064 0.988
0.810 0.631 0.100
0.838 0.468 0.700
0.924 0.061 0.147
0.928 0.264 0.400
0.937 0.662 0.428
0.948 0.205 0.827
0.961 0.095 0.560
```

***

[9]
Calculated PXRD pattern of CsTbP4O12 for copper Kα, from a cell relaxed with GGA-PBE.
Neutral-atom scattering factors, no anomalous dispersion.

Top 8 peaks for 2θ = 10–90°, by angle:
2θ/deg, d (Å), I_rel
14.34, 6.175, 92
16.21, 5.468, 100
22.64, 3.927, 65
23.63, 3.766, 61
26.49, 3.365, 52
26.78, 3.329, 89
31.64, 2.828, 65
44.30, 2.045, 67

Atomic structure:
```
CsTbP4O12
1.0
6.989 0.000 0.000
0.000 8.997 0.000
-1.477 0.000 8.491
Cs Tb P O
2 2 8 24
Direct
0.167 0.000 0.173
0.833 0.500 0.827
0.302 0.160 0.696
0.698 0.660 0.304
0.138 0.527 0.541
0.183 0.590 0.220
0.419 0.391 0.061
0.441 0.768 0.626
0.559 0.268 0.374
0.581 0.891 0.939
0.817 0.090 0.780
0.862 0.027 0.459
0.025 0.137 0.825
0.048 0.111 0.492
0.143 0.386 0.632
0.214 0.490 0.379
0.216 0.465 0.092
0.295 0.634 0.643
0.341 0.914 0.593
0.343 0.702 0.236
0.372 0.320 0.905
0.417 0.000 0.908
0.417 0.215 0.472
0.447 0.262 0.192
0.553 0.762 0.808
0.583 0.500 0.092
0.583 0.715 0.528
0.628 0.820 0.095
0.657 0.202 0.764
0.659 0.414 0.407
0.705 0.134 0.357
0.784 0.965 0.908
0.786 0.990 0.621
0.857 0.886 0.368
0.952 0.611 0.508
0.975 0.637 0.175
```